Computed powder XRD pattern of KSrPd for Cu Kα, from DFT lattice parameters and positions (PBE).

The 8 most intense peaks (2θ = 5–70°), in order of rising 2θ:
| h k l | Position (°2θ) | I/Imax |
| --- | --- | --- |
| 1 1 1 | 20.29 | 58 |
| 2 0 0 | 23.46 | 1 |
| 2 2 0 | 33.42 | 100 |
| 3 1 1 | 39.41 | 32 |
| 4 0 0 | 47.99 | 17 |
| 3 3 1 | 52.61 | 14 |
| 4 2 2 | 59.75 | 35 |
| 5 1 1 | 63.78 | 10 |

Structural model:
```
data_KSrPd
_cell_length_a 7.5825
_cell_length_b 7.5825
_cell_length_c 7.5825
_cell_angle_alpha 90.00
_cell_angle_beta 90.00
_cell_angle_gamma 90.00
_space_group_name_H-M_alt 'F -4 3 m'
_space_group_IT_number 216
_space_group_name_Hall 'F -4 2 3'
loop_
_atom_site_label
_atom_site_type_symbol
_atom_site_fract_x
_atom_site_fract_y
_atom_site_fract_z
K1 K 0.0000 0.0000 0.0000
Sr1 Sr 0.0000 0.0000 0.5000
Pd1 Pd 0.2500 0.2500 0.2500
```